Theoretical PXRD pattern
Compound: GaS2NO8
Radiation: Cu Kα X-rays
Structure: the GGA-PBE geometry in Alexandria

Structural model:
```
data_GaS2NO8
_chemical_formula_sum 'Ga1 S2 N1 O8'
_cell_length_a 4.9175
_cell_length_b 4.9175
_cell_length_c 8.5652
_cell_angle_alpha 90.00
_cell_angle_beta 90.00
_cell_angle_gamma 120.00
_space_group_name_H-M_alt 'P 3 2 1'
_space_group_IT_number 150
loop_
_space_group_symop_operation_xyz
'x,y,z'
'-y,x-y,z'
'-x+y,-x,z'
'y,x,-z'
'x-y,-y,-z'
'-x,-x+y,-z'
loop_
_atom_site_label
_atom_site_type_symbol
_atom_site_fract_x
_atom_site_fract_y
_atom_site_fract_z
_atom_site_occupancy
Ga1 Ga 0.0000 0.0000 0.0000 1
S1 S 0.3333 0.6667 0.2041 1
N1 N 0.0000 0.0000 0.5000 1
O1 O 0.0917 0.3515 0.1444 1
O2 O 0.3333 0.6667 0.3738 1
```

Peak list (12 most intense, 15 to 90 degrees two-theta, sorted by position)
2θ (°)  I/Imax  index
20.86  8  1 0 0
23.33  100  0 1 1
29.58  52  0 1 2
36.55  27  1 1 0
37.94  9  1 0 3
47.53  10  1 0 4
47.70  16  0 2 2
53.70  8  0 2 3
57.03  8  1 1 4
58.33  12  1 2 1
61.55  11  1 2 2
66.53  8  1 1 5